# 1
Theoretical powder diffraction line list of AlGaPd for Cu Ka, from a PBE-relaxed structure.

Top 10 peaks for 5° ≤ 2θ ≤ 70°, by angle:
| d/Å | I/Imax |
| --- | --- |
| 5.776 | 68 |
| 3.397 | 19 |
| 2.641 | 91 |
| 2.100 | 59 |
| 2.070 | 100 |
| 1.974 | 16 |
| 1.925 | 15 |
| 1.487 | 9 |
| 1.483 | 9 |
| 1.419 | 22 |

Atomic structure:
a b c (Å): 4.200 4.200 5.776
angles (deg): 90.00 90.00 90.16
Fractional positions:
Al: 0.250 0.750 0.770
Al: 0.750 0.250 0.230
Ga: 0.250 0.750 0.207
Ga: 0.750 0.250 0.793
Pd: 0.250 0.250 0.500
Pd: 0.750 0.750 0.500



# 2
Theoretical powder diffraction line list of K2SnBr6 for Cu Ka, from a PBE-relaxed structure.

Top 10 peaks for 5° ≤ 2θ ≤ 70°, by angle:
| d/Å | I/Imax |
| --- | --- |
| 6.984 | 32 |
| 6.446 | 72 |
| 5.138 | 60 |
| 3.450 | 100 |
| 3.249 | 34 |
| 2.665 | 54 |
| 2.569 | 36 |
| 2.454 | 19 |
| 2.379 | 19 |
| 2.149 | 43 |

Atomic structure:
a b c (Å): 7.266 7.266 13.968
angles (deg): 90.00 90.00 90.00
Fractional positions:
K: 0.000 0.000 0.166
K: 0.000 0.000 0.834
K: 0.500 0.500 0.334
K: 0.500 0.500 0.666
Sn: 0.000 0.000 0.500
Sn: 0.500 0.500 0.000
Br: 0.179 0.179 0.363
Br: 0.179 0.179 0.637
Br: 0.241 0.241 0.000
Br: 0.259 0.741 0.500
Br: 0.321 0.679 0.137
Br: 0.321 0.679 0.863
Br: 0.679 0.321 0.137
Br: 0.679 0.321 0.863
Br: 0.741 0.259 0.500
Br: 0.759 0.759 0.000
Br: 0.821 0.821 0.363
Br: 0.821 0.821 0.637



# 3
Theoretical powder diffraction line list of Li2UI6 for Cu Ka, from a PBE-relaxed structure.

Top 10 peaks for 5° ≤ 2θ ≤ 70°, by angle:
| d/Å | I/Imax |
| --- | --- |
| 7.574 | 28 |
| 5.943 | 31 |
| 3.787 | 12 |
| 3.347 | 100 |
| 2.658 | 46 |
| 2.154 | 32 |
| 2.091 | 30 |
| 1.811 | 17 |
| 1.422 | 15 |
| 1.386 | 15 |

Atomic structure:
a b c (Å): 7.461 7.461 15.149
angles (deg): 90.00 90.00 120.00
Fractional positions:
Li: 0.000 0.000 0.250
Li: 0.000 0.000 0.750
Li: 0.333 0.667 0.250
Li: 0.667 0.333 0.750
U: 0.333 0.667 0.750
U: 0.667 0.333 0.250
I: 0.001 0.335 0.636
I: 0.001 0.667 0.864
I: 0.333 0.335 0.864
I: 0.333 0.999 0.636
I: 0.335 0.001 0.136
I: 0.335 0.333 0.364
I: 0.665 0.667 0.636
I: 0.665 0.999 0.864
I: 0.667 0.001 0.364
I: 0.667 0.665 0.136
I: 0.999 0.333 0.136
I: 0.999 0.665 0.364